The following is a computed powder diffractogram of VInClO4. It was derived from a structure optimized by DFT (GGA+U), using Cu Kα (weighted mean of Kα1 and Kα2).
No peak broadening, texture or thermal motion is included.

Cell and atoms:
Cell: 6.052 6.052 8.740 Å, 112.26 112.26 71.83°
Element x y z (fractional)
V 0.119 0.119 0.301
V 0.881 0.881 0.699
In 0.307 0.307 0.797
In 0.693 0.693 0.203
Cl 0.401 0.401 0.120
Cl 0.599 0.599 0.880
O 0.032 0.632 0.778
O 0.075 0.075 0.758
O 0.226 0.226 0.524
O 0.368 0.968 0.222
O 0.632 0.032 0.778
O 0.774 0.774 0.476
O 0.925 0.925 0.242
O 0.968 0.368 0.222

The 8 most intense peaks (5° ≤ 2θ ≤ 70°), most intense first:
2θ (°), intensity
16.81, 100
25.08, 80
23.02, 64
30.25, 52
18.20, 45
33.78, 28
20.50, 28
44.90, 24